1.
Computed powder diffraction line list of Nd3AsS6 for Cu Kα, 1.54184 Å, from DFT lattice parameters and positions (GGA-PBE).
Intensities are scaled so that the largest is 100.

Most intense lines, 2θ from 15° to 90°, sorted by position:
d_spacing	Position (°2θ)	I_rel	h k l
5.454	16.25	28	1 1 1
3.646	24.42	100	2 2 1
3.596	24.76	44	1 3 1
3.558	25.03	13	0 0 2
2.629	34.10	19	3 3 1
2.499	35.94	43	3 1 2
2.452	36.66	31	0 4 2
2.171	41.61	32	3 5 0
2.061	43.93	14	1 3 3
1.893	48.08	18	5 3 1
1.840	49.55	14	1 7 1
1.817	50.20	12	6 0 0

Atomic structure:
```
data_Nd3AsS6
_cell_length_a 10.9035
_cell_length_b 13.5302
_cell_length_c 7.1163
_cell_angle_alpha 90.00
_cell_angle_beta 90.00
_cell_angle_gamma 90.00
_symmetry_space_group_name_H-M 'C m c 21'
_symmetry_Int_Tables_number 36
_symmetry_space_group_name_Hall 'C 2c -2'
loop_
_atom_site_label
_atom_site_type_symbol
_atom_site_fract_x
_atom_site_fract_y
_atom_site_fract_z
Nd1 Nd 0.0000 0.1011 0.0000
Nd2 Nd 0.1863 0.3991 0.0698
As1 As 0.0000 0.3163 0.6349
S1 S 0.0000 0.2789 0.2127
S2 S 0.0000 0.4721 0.7988
S3 S 0.1618 0.2409 0.7837
S4 S 0.1626 0.0221 0.2842
```

2.
Computed powder diffraction line list of Nd4AsS3 for Cu Kα, 1.54184 Å, from DFT lattice parameters and positions (GGA-PBE).
Intensities are scaled so that the largest is 100.

Most intense lines, 2θ from 15° to 90°, sorted by position:
d_spacing	Position (°2θ)	I_rel	h k l
5.831	15.19	2	1 0 0
4.123	21.55	2	1 1 0
3.367	26.47	53	1 1 1
2.916	30.66	100	2 0 0
2.062	43.92	73	2 2 0
1.758	52.01	27	3 1 1
1.683	54.51	26	2 2 2
1.458	63.85	12	4 0 0
1.338	70.38	11	3 3 1
1.304	72.49	33	4 2 0
1.190	80.73	24	4 2 2
1.122	86.78	8	5 1 1

Atomic structure:
```
data_Nd4AsS3
_cell_length_a 5.8313
_cell_length_b 5.8313
_cell_length_c 5.8313
_cell_angle_alpha 90.00
_cell_angle_beta 90.00
_cell_angle_gamma 90.00
_symmetry_space_group_name_H-M 'P m -3 m'
_symmetry_Int_Tables_number 221
_symmetry_space_group_name_Hall '-P 4 2 3'
loop_
_atom_site_label
_atom_site_type_symbol
_atom_site_fract_x
_atom_site_fract_y
_atom_site_fract_z
Nd1 Nd 0.0000 0.0000 0.0000
Nd2 Nd 0.0000 0.5000 0.5000
As1 As 0.5000 0.5000 0.5000
S1 S 0.0000 0.0000 0.5000
```

3.
Computed powder diffraction line list of Nd4AsSeS2 for Cu Kα, 1.54184 Å, from DFT lattice parameters and positions (GGA-PBE).
Intensities are scaled so that the largest is 100.

Most intense lines, 2θ from 15° to 90°, sorted by position:
d_spacing	Position (°2θ)	I_rel	h k l
3.415	26.10	9	0 0 2
3.395	26.25	27	1 1 -1
2.945	30.36	100	1 1 1
2.087	43.37	37	1 1 -3
2.078	43.56	36	0 2 0
1.775	51.49	9	0 2 2
1.707	53.68	6	0 0 4
1.698	54.02	19	2 2 -2
1.472	63.15	12	4 0 -4
1.319	71.50	10	0 2 4
1.315	71.81	16	1 3 1
1.201	79.83	8	1 3 -3

Atomic structure:
```
data_Nd4AsSeS2
_cell_length_a 7.1985
_cell_length_b 4.1548
_cell_length_c 7.2353
_cell_angle_alpha 90.00
_cell_angle_beta 109.29
_cell_angle_gamma 90.00
_symmetry_space_group_name_H-M 'P 1 2/m 1'
_symmetry_Int_Tables_number 10
_symmetry_space_group_name_Hall '-P 2y'
loop_
_atom_site_label
_atom_site_type_symbol
_atom_site_fract_x
_atom_site_fract_y
_atom_site_fract_z
Nd1 Nd 0.2362 0.0000 0.2377
Nd2 Nd 0.2418 0.5000 0.7544
As1 As 0.5000 0.0000 0.0000
Se1 Se 0.5000 0.5000 0.5000
S1 S 0.0000 0.0000 0.5000
S2 S 0.0000 0.5000 0.0000
```

4.
Computed powder diffraction line list of Nd4SiAs2S for Cu Kα, 1.54184 Å, from DFT lattice parameters and positions (GGA-PBE).
Intensities are scaled so that the largest is 100.

Most intense lines, 2θ from 15° to 90°, sorted by position:
d_spacing	Position (°2θ)	I_rel	h k l
3.452	25.81	39	2 0 0
2.990	29.89	100	1 1 1
2.115	42.75	62	2 0 2
2.109	42.88	12	0 2 0
1.804	50.60	13	3 1 1
1.728	52.98	13	4 0 0
1.724	53.14	13	2 2 -2
1.495	62.09	12	2 2 2
1.338	70.36	17	3 1 3
1.337	70.44	11	4 2 0
1.222	78.22	10	5 1 1
1.219	78.49	8	3 3 -1

Atomic structure:
```
data_Nd4SiAs2S
_cell_length_a 7.3262
_cell_length_b 4.2178
_cell_length_c 7.3341
_cell_angle_alpha 90.00
_cell_angle_beta 109.40
_cell_angle_gamma 90.00
_symmetry_space_group_name_H-M 'P 1 2/m 1'
_symmetry_Int_Tables_number 10
_symmetry_space_group_name_Hall '-P 2y'
loop_
_atom_site_label
_atom_site_type_symbol
_atom_site_fract_x
_atom_site_fract_y
_atom_site_fract_z
Nd1 Nd 0.2482 0.0000 0.2503
Nd2 Nd 0.2485 0.5000 0.7517
Si1 Si 0.0000 0.5000 0.0000
As1 As 0.5000 0.0000 0.0000
As2 As 0.5000 0.5000 0.5000
S1 S 0.0000 0.0000 0.5000
```

5.
Computed powder diffraction line list of Nd6Te3As2S for Cu Kα, 1.54184 Å, from DFT lattice parameters and positions (GGA-PBE).
Intensities are scaled so that the largest is 100.

Most intense lines, 2θ from 15° to 90°, sorted by position:
d_spacing	Position (°2θ)	I_rel	h k l
3.525	25.26	6	3 1 0
3.080	28.99	100	1 1 -2
2.838	31.52	10	5 1 -1
2.207	40.89	34	7 1 -2
2.149	42.04	38	0 2 0
1.764	51.83	13	6 2 0
1.760	51.97	8	4 0 4
1.540	60.09	11	2 2 -4
1.393	67.22	8	8 2 -4
1.364	68.83	6	1 3 -2
1.362	68.93	11	4 2 4
1.253	75.97	7	7 3 -2

Atomic structure:
```
data_Nd6Te3As2S
_cell_length_a 19.1832
_cell_length_b 4.3030
_cell_length_c 8.8238
_cell_angle_alpha 90.00
_cell_angle_beta 105.55
_cell_angle_gamma 90.00
_symmetry_space_group_name_H-M 'C 1 2/m 1'
_symmetry_Int_Tables_number 12
_symmetry_space_group_name_Hall '-C 2y'
loop_
_atom_site_label
_atom_site_type_symbol
_atom_site_fract_x
_atom_site_fract_y
_atom_site_fract_z
Nd1 Nd 0.0056 0.0000 0.2245
Nd2 Nd 0.1561 0.5000 0.0966
Nd3 Nd 0.1730 0.5000 0.5663
Te1 Te 0.0000 0.5000 0.5000
Te2 Te 0.1682 0.0000 0.8341
As1 As 0.1660 0.0000 0.3320
S1 S 0.0000 0.5000 0.0000
```

6.
Computed powder diffraction line list of Nd2ThAs2S2 for Cu Kα, 1.54184 Å, from DFT lattice parameters and positions (GGA-PBE).
Intensities are scaled so that the largest is 100.

Most intense lines, 2θ from 15° to 90°, sorted by position:
d_spacing	Position (°2θ)	I_rel	h k l
3.977	22.35	81	1 1 0
3.609	24.67	88	1 0 3
2.812	31.82	100	2 0 0
2.612	34.33	35	2 0 2
2.523	35.59	72	1 0 5
2.218	40.67	50	2 1 3
1.989	45.62	37	2 2 0
1.878	48.47	60	2 1 5
1.779	51.37	17	3 1 0
1.562	59.16	16	3 0 5
1.494	62.11	20	2 0 8
1.365	68.75	21	3 2 5

Atomic structure:
```
data_Nd2ThAs2S2
_cell_length_a 5.6246
_cell_length_b 5.6246
_cell_length_c 14.1136
_cell_angle_alpha 90.00
_cell_angle_beta 90.00
_cell_angle_gamma 90.00
_symmetry_space_group_name_H-M 'I 4/m m m'
_symmetry_Int_Tables_number 139
_symmetry_space_group_name_Hall '-I 4 2'
loop_
_atom_site_label
_atom_site_type_symbol
_atom_site_fract_x
_atom_site_fract_y
_atom_site_fract_z
Nd1 Nd 0.0000 0.0000 0.1219
Th1 Th 0.0000 0.0000 0.5000
As1 As 0.0000 0.5000 0.0000
S1 S 0.0000 0.0000 0.3051
```